(1)
For Pr5In2H, DFT lattice parameters and positions (PBE) gives the theoretical PXRD pattern in this record (copper Kα).
Intensities are scaled so that the largest is 100.

Cell and atoms:
```
Pr5In2H
1.0
-3.5975 3.5975 4.6572
3.5975 -3.5975 4.6572
3.5975 3.5975 -4.6572
Pr In H
5 2 1
Direct
0.0000 0.0000 0.0000 Pr
0.4959 0.4959 0.5003 Pr
0.4959 0.9956 0.0000 Pr
0.9956 0.4959 0.0000 Pr
0.9956 0.9956 0.4997 Pr
0.4972 0.9972 0.5000 In
0.9972 0.4972 0.5000 In
0.2549 0.2549 0.0000 H
```

Peak list (6 most intense, 5° ≤ 2θ ≤ 70°, in order of rising 2θ)
| Position (°2θ) | I_rel |
| --- | --- |
| 31.42 | 100 |
| 35.28 | 36 |
| 38.67 | 14 |
| 53.34 | 23 |
| 60.92 | 30 |
| 65.53 | 23 |



(2)
For Pr2InH, DFT lattice parameters and positions (PBE) gives the theoretical PXRD pattern in this record (copper Kα).
Intensities are scaled so that the largest is 100.

Cell and atoms:
```
Pr2InH
1.0
6.0281 0.0000 0.0000
-3.0141 5.2205 0.0000
0.0000 0.0000 9.3343
Pr In H
6 3 3
Direct
0.1573 0.3513 0.3420 Pr
0.1940 0.8427 0.0087 Pr
0.3513 0.1573 0.6580 Pr
0.6487 0.8060 0.6754 Pr
0.8060 0.6487 0.3246 Pr
0.8427 0.1940 0.9913 Pr
0.0000 0.4960 0.6667 In
0.4960 0.0000 0.3333 In
0.5040 0.5040 0.0000 In
0.0000 0.5002 0.1667 H
0.5002 0.0000 0.8333 H
0.4998 0.4998 0.5000 H
```

Peak list (6 most intense, 5° ≤ 2θ ≤ 70°, in order of rising 2θ)
| Position (°2θ) | I_rel |
| --- | --- |
| 28.69 | 47 |
| 31.18 | 100 |
| 35.45 | 71 |
| 49.39 | 27 |
| 53.57 | 21 |
| 69.28 | 20 |



(3)
For PrInH8Ru2, DFT lattice parameters and positions (PBE) gives the theoretical PXRD pattern in this record (copper Kα).
Intensities are scaled so that the largest is 100.

Cell and atoms:
```
PrInH8Ru2
1.0
4.1924 -2.2118 0.0000
4.1924 2.2118 0.0000
-2.4489 0.0000 5.9146
Pr In H Ru
1 1 8 2
Direct
0.0000 0.0000 0.0000 Pr
0.5000 0.5000 0.5000 In
0.0542 0.5648 0.1707 H
0.2054 0.2054 0.3801 H
0.4209 0.4209 0.8326 H
0.4352 0.9458 0.8293 H
0.5648 0.0542 0.1707 H
0.5791 0.5791 0.1674 H
0.7946 0.7946 0.6199 H
0.9458 0.4352 0.8293 H
0.2150 0.2150 0.6463 Ru
0.7850 0.7850 0.3537 Ru
```

Peak list (6 most intense, 5° ≤ 2θ ≤ 70°, in order of rising 2θ)
| Position (°2θ) | I_rel |
| --- | --- |
| 30.05 | 100 |
| 30.21 | 63 |
| 34.59 | 19 |
| 38.13 | 74 |
| 40.80 | 31 |
| 51.59 | 28 |



(4)
For Pr4TlInH, DFT lattice parameters and positions (PBE) gives the theoretical PXRD pattern in this record (copper Kα).
Intensities are scaled so that the largest is 100.

Cell and atoms:
```
Pr4TlInH
1.0
3.3760 -8.8048 0.0000
3.3760 8.8048 0.0000
0.0000 0.0000 6.7635
Pr Tl In H
8 2 2 2
Direct
0.0000 0.5000 0.0000 Pr
0.0000 0.5000 0.5000 Pr
0.0702 0.9298 0.7500 Pr
0.4299 0.5701 0.7500 Pr
0.5000 0.0000 0.0000 Pr
0.5000 0.0000 0.5000 Pr
0.5701 0.4299 0.2500 Pr
0.9298 0.0702 0.2500 Pr
0.1127 0.8873 0.2500 Tl
0.8873 0.1127 0.7500 Tl
0.3856 0.6144 0.2500 In
0.6144 0.3856 0.7500 In
0.2920 0.7080 0.7500 H
0.7080 0.2920 0.2500 H
```

Peak list (6 most intense, 5° ≤ 2θ ≤ 70°, in order of rising 2θ)
| Position (°2θ) | I_rel |
| --- | --- |
| 28.29 | 98 |
| 30.46 | 35 |
| 31.56 | 36 |
| 33.43 | 100 |
| 37.65 | 69 |
| 49.17 | 37 |



(5)
For InRe2H, DFT lattice parameters and positions (PBE) gives the theoretical PXRD pattern in this record (copper Kα).
Intensities are scaled so that the largest is 100.

Cell and atoms:
```
InRe2H
1.0
-2.5101 2.5101 4.8369
2.5101 -2.5101 4.8369
2.5101 2.5101 -4.8369
In Re H
2 4 2
Direct
0.3750 0.6250 0.7500 In
0.6250 0.3750 0.2500 In
0.0000 0.0000 0.0000 Re
0.0000 0.0000 0.5000 Re
0.0000 0.5000 0.0000 Re
0.5000 0.0000 0.5000 Re
0.1250 0.8750 0.2500 H
0.8750 0.1250 0.7500 H
```

Peak list (6 most intense, 5° ≤ 2θ ≤ 70°, in order of rising 2θ)
| Position (°2θ) | I_rel |
| --- | --- |
| 19.93 | 46 |
| 33.02 | 91 |
| 40.49 | 100 |
| 41.28 | 99 |
| 50.56 | 27 |
| 65.20 | 43 |